Diffraction record for Na2VCuF7. The powder X-ray diffraction pattern is calculated, not measured: it uses a DFT-relaxed cell (GGA+U, Alexandria) and Cu Kα (weighted mean of Kα1 and Kα2).

Largest 12 diffraction maxima, low angle first, 2θ from 10° to 80°:
14.3 deg, rel. 74, hkl 1 0 1
16.8 deg, rel. 28, hkl 0 1 1
23.9 deg, rel. 23, hkl 2 1 1
27.9 deg, rel. 26, hkl 3 0 1
28.5 deg, rel. 35, hkl 1 2 1
28.7 deg, rel. 100, hkl 2 0 2
29.9 deg, rel. 94, hkl 2 2 0
34.0 deg, rel. 27, hkl 4 0 0
48.8 deg, rel. 75, hkl 4 2 2
50.4 deg, rel. 26, hkl 0 4 0
57.0 deg, rel. 29, hkl 2 2 4
59.0 deg, rel. 23, hkl 2 4 2

Cell and atoms:
```
data_Na2VCuF7
_chemical_formula_sum 'Na8 V4 Cu4 F28'
_cell_length_a 10.5466
_cell_length_b 7.2478
_cell_length_c 7.6869
_cell_angle_alpha 90.00
_cell_angle_beta 90.00
_cell_angle_gamma 90.00
_space_group_name_H-M_alt 'P 1'
_space_group_IT_number 1
_space_group_name_Hall 'P 1'
loop_
_atom_site_label
_atom_site_fract_x
_atom_site_fract_y
_atom_site_fract_z
Na1 0.0000 0.0000 0.0000
Na2 0.0000 0.5000 0.0000
Na3 0.2436 0.2500 0.2886
Na4 0.2564 0.7500 0.7886
Na5 0.5000 0.0000 0.5000
Na6 0.5000 0.5000 0.5000
Na7 0.7436 0.2500 0.2114
Na8 0.7564 0.7500 0.7114
V1 0.2359 0.2500 0.7893
V2 0.2641 0.7500 0.2893
V3 0.7359 0.2500 0.7107
V4 0.7641 0.7500 0.2107
Cu1 0.0000 0.0000 0.5000
Cu2 0.0000 0.5000 0.5000
Cu3 0.5000 0.0000 0.0000
Cu4 0.5000 0.5000 0.0000
F1 0.0123 0.2500 0.4125
F2 0.1191 0.0460 0.7376
F3 0.1191 0.4540 0.7376
F4 0.1491 0.5454 0.3578
F5 0.1491 0.9546 0.3578
F6 0.1509 0.2500 0.0211
F7 0.1711 0.7500 0.0647
F8 0.3289 0.2500 0.5647
F9 0.3491 0.7500 0.5211
F10 0.3509 0.0454 0.8578
F11 0.3509 0.4546 0.8578
F12 0.3809 0.5460 0.2376
F13 0.3809 0.9540 0.2376
F14 0.4877 0.7500 0.9125
F15 0.5123 0.2500 0.0875
F16 0.6191 0.0460 0.7624
F17 0.6191 0.4540 0.7624
F18 0.6491 0.5454 0.1422
F19 0.6491 0.9546 0.1422
F20 0.6509 0.2500 0.4789
F21 0.6711 0.7500 0.4353
F22 0.8289 0.2500 0.9353
F23 0.8491 0.7500 0.9789
F24 0.8509 0.0454 0.6422
F25 0.8509 0.4546 0.6422
F26 0.8809 0.5460 0.2624
F27 0.8809 0.9540 0.2624
F28 0.9877 0.7500 0.5875
```